Diffraction record for AcMn4Sb12. The powder XRD pattern is calculated, not measured: it uses a DFT-relaxed cell (PBE, Alexandria) and Cu Kα, 1.54184 Å.
No peak broadening, texture or thermal motion is included.

Principal peaks in the range 10 to 90 degrees two-theta, in order of falling intensity:
30.23°, rel. 100; 35.94°, rel. 56; 49.72°, rel. 27; 47.65°, rel. 24; 68.00°, rel. 19; 57.47°, rel. 14

Structure:
Cell: 9.350 9.350 9.350 Å, 90.00 90.00 90.00°
Space group Im-3 (No. 204)
Asymmetric unit:
Ac: 0.000 0.000 0.000 x2
Mn: 0.250 0.250 0.250 x8
Sb: 0.000 0.337 0.162 x24

Diffraction record for Na2MgH4. The powder XRD pattern is calculated, not measured: it uses a DFT-relaxed cell (PBE, Alexandria) and Cu Kα, 1.54184 Å.
No peak broadening, texture or thermal motion is included.

Principal peaks in the range 10 to 90 degrees two-theta, in order of falling intensity:
32.55°, rel. 100; 34.06°, rel. 52; 60.01°, rel. 33; 48.93°, rel. 19; 57.10°, rel. 17; 68.17°, rel. 12

Structure:
Cell: 5.265 5.265 24.494 Å, 90.00 90.00 90.00°
Space group I4_1/acd (No. 142, origin choice 2)
Asymmetric unit:
Na: 0.000 0.250 0.049 x16
Mg: 0.000 0.250 0.375 x8
H: 0.000 0.250 0.293 x16
H: 0.192 0.058 0.125 x16

Diffraction record for FeCo6Mo. The powder XRD pattern is calculated, not measured: it uses a DFT-relaxed cell (PBE, Alexandria) and Cu Kα, 1.54184 Å.
No peak broadening, texture or thermal motion is included.

Principal peaks in the range 10 to 90 degrees two-theta, in order of falling intensity:
43.90°, rel. 100; 51.10°, rel. 31; 75.27°, rel. 18; 51.22°, rel. 15; 75.17°, rel. 9; 24.93°, rel. 1

Structure:
Cell: 7.134 10.112 10.111 Å, 90.00 90.00 90.00°
Space group Cmmm (No. 65)
Asymmetric unit:
Fe: 0.000 0.000 0.248 x4
Fe: 0.000 0.253 0.000 x4
Co: 0.000 0.000 0.000 x2
Co: 0.000 0.000 0.500 x2
Co: 0.000 0.248 0.248 x8
Co: 0.000 0.500 0.000 x2
Co: 0.000 0.500 0.500 x2
Co: 0.247 0.127 0.123 x16
Co: 0.248 0.124 0.374 x16
Mo: 0.000 0.254 0.500 x4
Mo: 0.000 0.500 0.249 x4

Diffraction record for Rb2IrBr2F4. The powder XRD pattern is calculated, not measured: it uses a DFT-relaxed cell (PBE, Alexandria) and Cu Kα, 1.54184 Å.
No peak broadening, texture or thermal motion is included.

Principal peaks in the range 10 to 90 degrees two-theta, in order of falling intensity:
25.40°, rel. 100; 16.12°, rel. 89; 36.22°, rel. 62; 32.91°, rel. 46; 26.99°, rel. 38; 17.88°, rel. 38

Structure:
Cell: 7.014 7.014 8.860 Å, 90.00 90.00 90.00°
Space group I4/mmm (No. 139)
Asymmetric unit:
Rb: 0.000 0.500 0.250 x4
Ir: 0.000 0.000 0.000 x2
Br: 0.000 0.000 0.282 x4
F: 0.198 0.198 0.000 x8

Diffraction record for SrLi3Ga. The powder XRD pattern is calculated, not measured: it uses a DFT-relaxed cell (PBE, Alexandria) and Cu Kα, 1.54184 Å.
No peak broadening, texture or thermal motion is included.

Principal peaks in the range 10 to 90 degrees two-theta, in order of falling intensity:
13.15°, rel. 100; 26.77°, rel. 57; 25.98°, rel. 49; 26.88°, rel. 40; 36.43°, rel. 34; 36.75°, rel. 30

Structure:
Cell: 13.864 10.641 6.863 Å, 90.00 103.73 90.00°
Space group C2/c (No. 15)
Asymmetric unit:
Sr: 0.000 0.063 0.250 x4
Sr: 0.000 0.357 0.750 x4
Li: 0.188 0.172 0.085 x8
Li: 0.200 0.173 0.606 x8
Li: 0.200 0.500 0.103 x8
Ga: 0.096 0.343 0.307 x8

Diffraction record for B2As5Pd12. The powder XRD pattern is calculated, not measured: it uses a DFT-relaxed cell (PBE, Alexandria) and Cu Kα, 1.54184 Å.
No peak broadening, texture or thermal motion is included.

Principal peaks in the range 10 to 90 degrees two-theta, in order of falling intensity:
40.11°, rel. 100; 37.81°, rel. 86; 40.29°, rel. 67; 29.02°, rel. 44; 30.97°, rel. 42; 56.40°, rel. 35

Structure:
Cell: 13.793 6.526 7.733 Å, 90.00 115.90 90.00°
Space group C2/m (No. 12)
Asymmetric unit:
B: 0.000 0.243 0.000 x4
As: 0.000 0.000 0.500 x2
As: 0.183 0.500 0.824 x4
As: 0.223 0.500 0.370 x4
Pd: 0.011 0.500 0.187 x4
Pd: 0.025 0.000 0.197 x4
Pd: 0.133 0.274 0.532 x8
Pd: 0.167 0.257 0.077 x8

Diffraction record for Ac6PrDy2. The powder XRD pattern is calculated, not measured: it uses a DFT-relaxed cell (PBE, Alexandria) and Cu Kα, 1.54184 Å.
No peak broadening, texture or thermal motion is included.

Principal peaks in the range 10 to 90 degrees two-theta, in order of falling intensity:
29.59°, rel. 100; 29.83°, rel. 81; 28.13°, rel. 61; 28.32°, rel. 54; 22.48°, rel. 42; 27.03°, rel. 36

Structure:
Cell: 16.064 9.500 10.103 Å, 90.00 99.99 90.00°
Space group C2/c (No. 15)
Asymmetric unit:
Ac: 0.101 0.198 0.128 x8
Ac: 0.120 0.435 0.833 x8
Ac: 0.136 0.220 0.518 x8
Pr: 0.000 0.101 0.750 x4
Dy: 0.219 0.078 0.852 x8

Diffraction record for TbZrHg2. The powder XRD pattern is calculated, not measured: it uses a DFT-relaxed cell (PBE, Alexandria) and Cu Kα, 1.54184 Å.
No peak broadening, texture or thermal motion is included.

Principal peaks in the range 10 to 90 degrees two-theta, in order of falling intensity:
35.06°, rel. 100; 34.87°, rel. 52; 62.64°, rel. 38; 50.13°, rel. 19; 63.01°, rel. 17; 74.08°, rel. 11

Structure:
Cell: 3.639 3.639 7.202 Å, 90.00 90.00 90.00°
Space group P4/mmm (No. 123)
Asymmetric unit:
Tb: 0.000 0.000 0.000 x1
Zr: 0.000 0.000 0.500 x1
Hg: 0.500 0.500 0.266 x2

Diffraction record for Mg5Tl3In3. The powder XRD pattern is calculated, not measured: it uses a DFT-relaxed cell (PBE, Alexandria) and Cu Kα, 1.54184 Å.
No peak broadening, texture or thermal motion is included.

Principal peaks in the range 10 to 90 degrees two-theta, in order of falling intensity:
32.02°, rel. 100; 17.34°, rel. 66; 36.59°, rel. 51; 30.28°, rel. 49; 20.05°, rel. 38; 44.64°, rel. 37

Structure:
Cell: 10.2259 10.2259 3.3383 Å, 90.00 90.00 120.00°
Space group P-62m (No. 189)
Asymmetric unit:
Mg: 0.0000 0.1679 0.0000 x3
Mg: 0.3333 0.6667 0.0000 x2
Tl: 0.0000 0.4087 0.5000 x3
In: 0.0000 0.6640 0.0000 x3

Diffraction record for MnAgHgCl6. The powder XRD pattern is calculated, not measured: it uses a DFT-relaxed cell (PBE, Alexandria) and Cu Kα, 1.54184 Å.
No peak broadening, texture or thermal motion is included.

Principal peaks in the range 10 to 90 degrees two-theta, in order of falling intensity:
21.74°, rel. 100; 41.20°, rel. 71; 31.24°, rel. 35; 27.23°, rel. 34; 48.12°, rel. 30; 44.99°, rel. 29

Structure:
Cell: 6.5502 6.5502 11.7903 Å, 90.00 90.00 120.00°
Space group P-31c (No. 163)
Asymmetric unit:
Mn: 0.3333 0.6667 0.2500 x2
Ag: 0.0000 0.0000 0.0000 x2
Hg: 0.3333 0.6667 0.7500 x2
Cl: 0.0356 0.3658 0.1305 x12

Diffraction record for Mo5Ir2Pt2. The powder XRD pattern is calculated, not measured: it uses a DFT-relaxed cell (PBE, Alexandria) and Cu Kα, 1.54184 Å.
No peak broadening, texture or thermal motion is included.

Principal peaks in the range 10 to 90 degrees two-theta, in order of falling intensity:
40.07°, rel. 100; 67.72°, rel. 18; 45.61°, rel. 17; 27.35°, rel. 17; 47.18°, rel. 16; 47.01°, rel. 15

Structure:
Cell: 8.834 3.853 8.707 Å, 90.00 91.42 90.00°
Space group C2/m (No. 12)
Asymmetric unit:
Mo: 0.000 0.000 0.000 x2
Mo: 0.095 0.000 0.685 x4
Mo: 0.106 0.500 0.191 x4
Ir: 0.194 0.500 0.897 x4
Pt: 0.199 0.000 0.401 x4

Diffraction record for Ti6CoRu. The powder XRD pattern is calculated, not measured: it uses a DFT-relaxed cell (PBE, Alexandria) and Cu Kα, 1.54184 Å.
No peak broadening, texture or thermal motion is included.

Principal peaks in the range 10 to 90 degrees two-theta, in order of falling intensity:
40.05°, rel. 100; 42.22°, rel. 44; 75.72°, rel. 26; 13.15°, rel. 20; 71.26°, rel. 14; 61.24°, rel. 13

Structure:
Cell: 4.281 4.281 13.470 Å, 90.00 90.00 90.00°
Space group I4/mmm (No. 139)
Asymmetric unit:
Ti: 0.000 0.000 0.250 x4
Ti: 0.000 0.500 0.113 x8
Co: 0.000 0.000 0.000 x2
Ru: 0.000 0.000 0.500 x2